# Li3Mn2FeB3O9
Theoretical PXRD pattern, CuKα. Input: a structure optimized by DFT (GGA+U).

Crystal structure
a b c (Å): 6.3330 8.1957 8.7941
angles (deg): 62.23 69.03 89.65
Space group P1 (No. 1)
One atom of each set of equivalent atoms:
Li  0.0000  0.0000  0.0000
Li  0.1214  0.5773  0.7415
Li  0.2859  0.3166  0.4269
Li  0.5007  0.9999  0.9995
Li  0.6230  0.5777  0.7416
Li  0.7851  0.3156  0.4275
Mn  0.1998  0.2850  0.0967
Mn  0.3967  0.9292  0.7104
Mn  0.6991  0.2847  0.0980
Mn  0.8991  0.9301  0.7094
Fe  0.0611  0.6763  0.3584
Fe  0.5609  0.6759  0.3590
B  0.2959  0.9611  0.3936
B  0.3867  0.3004  0.7215
B  0.4728  0.6325  0.0585
B  0.7957  0.9606  0.3937
B  0.8872  0.2987  0.7204
B  0.9727  0.6320  0.0586
O  0.0700  0.7405  0.8636
O  0.2339  0.7671  0.4751
O  0.2491  0.0428  0.5077
O  0.3320  0.1056  0.8335
O  0.3416  0.4129  0.8051
O  0.4025  0.0727  0.1999
O  0.4241  0.4385  0.1445
O  0.4239  0.7200  0.1663
O  0.4869  0.3844  0.5269
O  0.5702  0.7416  0.8636
O  0.7357  0.7664  0.4745
O  0.7468  0.0412  0.5087
O  0.8335  0.1032  0.8307
O  0.8409  0.4091  0.8064
O  0.9023  0.0727  0.2000
O  0.9239  0.4380  0.1450
O  0.9238  0.7201  0.1657
O  0.9873  0.3844  0.5260

Largest 8 diffraction maxima, by angle, 2θ = 10–90°:
hkl 0 1 -1, 21.62°, d 4.111, rel. 100
hkl 0 2 1, 21.69°, d 4.098, rel. 49
hkl 0 1 3, 33.28°, d 2.692, rel. 17
hkl 2 1 0, 35.63°, d 2.520, rel. 21
hkl -2 1 1, 35.75°, d 2.512, rel. 41
hkl 2 -2 0, 35.91°, d 2.501, rel. 58
hkl 0 3 0, 37.91°, d 2.374, rel. 34
hkl 0 3 3, 38.04°, d 2.365, rel. 19